No. 1
Calculated XRD peak list
Compound: La8Sm2Tm3
Radiation: Cu Ka
Structure: a structure optimized by DFT (PBE)
Intensities are scaled so that the largest is 100.

Main lines, in order of rising 2θ (5° ≤ 2θ ≤ 70°):
Position (°2θ), Rel. int.
24.54, 24
28.87, 23
28.89, 23
30.12, 37
30.84, 47
32.75, 100

```
La8Sm2Tm3
1.0
10.3600 -3.8725 0.0000
10.3600 3.8725 0.0000
-0.0022 0.0000 5.7981
La Sm Tm
8 2 3
direct
0.0956 0.6976 0.9999 La
0.1740 0.1740 0.5008 La
0.3024 0.9044 0.0001 La
0.3707 0.3707 0.5005 La
0.6293 0.6293 0.4995 La
0.6976 0.0956 0.9999 La
0.8260 0.8260 0.4992 La
0.9044 0.3024 0.0001 La
0.2604 0.2604 0.0010 Sm
0.7396 0.7396 0.9990 Sm
0.2168 0.7832 0.5000 Tm
0.5000 0.5000 0.0000 Tm
0.7832 0.2168 0.5000 Tm
```

***

No. 2
Calculated XRD peak list
Compound: La8Sm4Tm
Radiation: Cu Ka
Structure: a structure optimized by DFT (PBE)
Intensities are scaled so that the largest is 100.

Main lines, in order of rising 2θ (5° ≤ 2θ ≤ 70°):
Position (°2θ), Rel. int.
22.23, 29
26.88, 20
30.11, 100
37.75, 44
53.47, 20
55.41, 18

```
La8Sm4Tm
1.0
5.9363 3.4273 3.9987
-5.9363 3.4273 3.9987
0.0000 -6.8546 3.9987
La Sm Tm
8 4 1
direct
0.1728 0.1728 0.6717 La
0.1728 0.6717 0.1728 La
0.2367 0.2367 0.2367 La
0.3283 0.8272 0.8272 La
0.6717 0.1728 0.1728 La
0.7633 0.7633 0.7633 La
0.8272 0.3283 0.8272 La
0.8272 0.8272 0.3283 La
0.0000 0.0000 0.0000 Sm
0.0000 0.5000 0.5000 Sm
0.5000 0.0000 0.5000 Sm
0.5000 0.5000 0.0000 Sm
0.5000 0.5000 0.5000 Tm
```